Entry 1:
This entry pairs a crystal structure of Pr3Nd3Hg2 with its theoretical PXRD pattern. Radiation: Cu Ka. Structure: a PBE-relaxed structure.
Kinematic intensities with the Lorentz-polarization factor, no thermal factor.

Principal peaks in the range 2θ from 10° to 80°, in order of rising 2θ:
- 2θ 28.65, I = 100
- 2θ 29.89, I = 56
- 2θ 32.34, I = 94
- 2θ 33.19, I = 60
- 2θ 33.66, I = 68
- 2θ 36.98, I = 24
- 2θ 39.43, I = 28
- 2θ 45.65, I = 26
- 2θ 50.87, I = 19
- 2θ 57.16, I = 31

```
16
Lattice="2.662 -6.077 0.000 2.662 6.077 0.000 0.000 0.000 16.201" Properties=species:S:1:pos:R:3 pbc="T T T"
Pr 2.662 5.614 9.884
Pr 2.662 5.614 14.417
Pr 2.662 2.591 12.151
Pr 2.662 -2.591 4.050
Pr 2.662 -5.614 1.783
Pr 2.662 -5.614 6.317
Nd 2.662 1.710 8.573
Nd 2.662 1.710 15.728
Nd 2.662 0.786 4.050
Nd 2.662 -0.786 12.151
Nd 2.662 -1.710 0.473
Nd 2.662 -1.710 7.627
Hg 2.662 3.332 2.135
Hg 2.662 3.332 5.965
Hg 2.662 -3.332 10.235
Hg 2.662 -3.332 14.066
```

---

Entry 2:
This entry pairs a crystal structure of CsHoTe2O8 with its theoretical PXRD pattern. Radiation: Cu Ka. Structure: a PBE-relaxed structure.
Kinematic intensities with the Lorentz-polarization factor, no thermal factor.

Principal peaks in the range 2θ from 10° to 80°, in order of rising 2θ:
- 2θ 17.57, I = 21
- 2θ 20.09, I = 73
- 2θ 26.30, I = 100
- 2θ 30.67, I = 59
- 2θ 40.84, I = 32
- 2θ 50.76, I = 23
- 2θ 51.93, I = 31
- 2θ 54.53, I = 15
- 2θ 63.84, I = 17
- 2θ 70.32, I = 13

```
12
Lattice="5.829 0.000 0.000 -2.915 5.048 0.000 0.000 0.000 9.143" Properties=species:S:1:pos:R:3 pbc="T T T"
Cs 0.000 0.000 0.000
Ho 0.000 0.000 4.572
Te 0.000 3.366 6.561
Te 2.915 1.683 2.582
O -0.503 1.704 5.934
O -1.187 4.632 5.934
O 0.000 3.366 8.382
O 1.224 1.288 3.209
O 1.690 3.760 5.934
O 2.915 1.683 0.761
O 4.102 0.416 3.209
O 3.418 3.344 3.209
```

---

Entry 3:
This entry pairs a crystal structure of CdPd3Pt4 with its theoretical PXRD pattern. Radiation: Cu Ka. Structure: a PBE-relaxed structure.
Kinematic intensities with the Lorentz-polarization factor, no thermal factor.

Principal peaks in the range 2θ from 10° to 80°, in order of rising 2θ:
- 2θ 15.55, I = 19
- 2θ 38.85, I = 100
- 2θ 39.14, I = 49
- 2θ 39.29, I = 49
- 2θ 45.32, I = 65
- 2θ 45.50, I = 32
- 2θ 66.06, I = 21
- 2θ 66.28, I = 21
- 2θ 79.05, I = 12
- 2θ 79.62, I = 19

```
16
Lattice="4.888 0.000 0.000 0.000 5.698 0.000 -1.615 0.000 9.172" Properties=species:S:1:pos:R:3 pbc="T T T"
Cd -0.404 0.657 2.293
Cd -1.212 5.042 6.879
Pd 1.241 0.735 0.014
Pd 0.433 4.963 4.599
Pd 1.232 0.756 6.879
Pd 2.040 4.942 2.293
Pd 2.839 0.735 4.572
Pd 2.031 4.963 9.158
Pt -1.212 2.178 6.879
Pt -0.404 3.520 2.293
Pt 0.415 2.155 4.601
Pt 1.223 3.544 0.015
Pt 2.040 2.156 2.293
Pt 1.232 3.542 6.879
Pt 2.050 2.155 9.157
Pt 2.857 3.544 4.571
```

---

Entry 4:
This entry pairs a crystal structure of Pr6Er3Tm2 with its theoretical PXRD pattern. Radiation: Cu Ka. Structure: a PBE-relaxed structure.
Kinematic intensities with the Lorentz-polarization factor, no thermal factor.

Principal peaks in the range 2θ from 10° to 80°, in order of rising 2θ:
- 2θ 29.12, I = 65
- 2θ 30.61, I = 100
- 2θ 31.45, I = 86
- 2θ 31.79, I = 85
- 2θ 31.87, I = 77
- 2θ 32.01, I = 77
- 2θ 42.26, I = 23
- 2θ 43.23, I = 22
- 2θ 48.25, I = 28
- 2θ 55.44, I = 36

```
11
Lattice="6.136 0.000 0.000 2.961 6.132 0.000 0.165 0.083 9.885" Properties=species:S:1:pos:R:3 pbc="T T T"
Pr 1.807 2.433 3.157
Pr 2.121 1.469 9.411
Pr 4.105 5.226 2.242
Pr 5.157 0.989 7.643
Pr 7.141 4.746 0.473
Pr 7.455 3.781 6.728
Er 4.274 4.246 8.583
Er 4.631 3.107 4.942
Er 4.989 1.968 1.302
Tm 1.871 0.308 5.938
Tm 7.391 5.906 3.947
```

---

Entry 5:
This entry pairs a crystal structure of BeSbAs2 with its theoretical PXRD pattern. Radiation: Cu Ka. Structure: a PBE-relaxed structure.
Kinematic intensities with the Lorentz-polarization factor, no thermal factor.

Principal peaks in the range 2θ from 10° to 80°, in order of rising 2θ:
- 2θ 17.28, I = 16
- 2θ 26.94, I = 100
- 2θ 28.14, I = 35
- 2θ 35.81, I = 48
- 2θ 44.59, I = 17
- 2θ 44.78, I = 44
- 2θ 48.16, I = 14
- 2θ 52.87, I = 19
- 2θ 53.19, I = 15
- 2θ 63.26, I = 14

```
8
Lattice="-2.874 2.874 5.703 2.874 -2.874 5.703 2.874 2.874 -5.703" Properties=species:S:1:pos:R:3 pbc="T T T"
Be 0.000 0.000 0.000
Be 0.000 2.874 2.851
Sb 2.874 0.000 2.851
Sb 0.000 0.000 5.703
As 4.311 0.995 -1.426
As 0.995 1.437 1.426
As -1.437 1.879 4.277
As 1.879 1.437 7.129
```

---

Entry 6:
This entry pairs a crystal structure of Y12InCo6 with its theoretical PXRD pattern. Radiation: Cu Ka. Structure: a PBE-relaxed structure.
Kinematic intensities with the Lorentz-polarization factor, no thermal factor.

Principal peaks in the range 2θ from 10° to 80°, in order of rising 2θ:
- 2θ 29.10, I = 23
- 2θ 31.95, I = 50
- 2θ 34.59, I = 100
- 2θ 37.06, I = 21
- 2θ 39.40, I = 10
- 2θ 47.80, I = 30
- 2θ 55.20, I = 27
- 2θ 56.94, I = 11
- 2θ 58.65, I = 28
- 2θ 68.36, I = 18

```
19
Lattice="-4.851 4.851 4.851 4.851 -4.851 4.851 4.851 4.851 -4.851" Properties=species:S:1:pos:R:3 pbc="T T T"
Y 4.851 -1.917 2.973
Y 2.934 1.879 0.000
Y 6.769 1.879 0.000
Y 2.973 4.851 -1.917
Y 1.879 0.000 2.934
Y 0.000 2.934 1.879
Y 4.851 1.917 2.973
Y 2.973 4.851 1.917
Y 1.879 0.000 6.769
Y -1.917 2.973 4.851
Y 1.917 2.973 4.851
Y 0.000 6.769 1.879
In 0.000 0.000 0.000
Co 4.851 0.000 1.089
Co 4.851 3.763 0.000
Co 1.089 4.851 0.000
Co 3.763 0.000 4.851
Co 0.000 1.089 4.851
Co 0.000 4.851 3.763
```

---

Entry 7:
This entry pairs a crystal structure of LaInNi5 with its theoretical PXRD pattern. Radiation: Cu Ka. Structure: a PBE-relaxed structure.
Kinematic intensities with the Lorentz-polarization factor, no thermal factor.

Principal peaks in the range 2θ from 10° to 80°, in order of rising 2θ:
- 2θ 34.06, I = 74
- 2θ 36.24, I = 100
- 2θ 37.83, I = 39
- 2θ 40.63, I = 67
- 2θ 42.35, I = 51
- 2θ 45.62, I = 62
- 2θ 46.01, I = 42
- 2θ 63.80, I = 23
- 2θ 67.77, I = 19
- 2θ 76.94, I = 33

```
28
Lattice="4.957 0.000 0.000 -2.479 4.293 0.000 0.000 0.000 19.993" Properties=species:S:1:pos:R:3 pbc="T T T"
La 0.000 0.000 0.000
La 0.000 0.000 9.996
La 0.000 2.862 4.998
La 2.479 1.431 14.994
In 0.000 2.862 1.701
In 0.000 2.862 8.295
In 2.479 1.431 11.698
In 2.479 1.431 18.291
Ni 0.000 0.000 4.998
Ni 0.000 0.000 14.994
Ni 0.000 1.424 12.955
Ni 0.000 1.424 17.034
Ni -1.245 3.581 12.955
Ni -1.245 3.581 17.034
Ni 1.233 0.712 2.959
Ni 1.233 0.712 7.037
Ni 0.000 2.862 10.962
Ni 0.000 2.862 14.994
Ni 0.000 2.862 19.026
Ni 2.479 1.431 0.966
Ni 2.479 1.431 4.998
Ni 2.479 1.431 9.030
Ni 1.245 3.581 12.955
Ni 1.245 3.581 17.034
Ni 3.724 0.712 2.959
Ni 3.724 0.712 7.037
Ni 2.479 2.869 2.959
Ni 2.479 2.869 7.037
```

---

Entry 8:
This entry pairs a crystal structure of Tb3P2Rh7 with its theoretical PXRD pattern. Radiation: Cu Ka. Structure: a PBE-relaxed structure.
Kinematic intensities with the Lorentz-polarization factor, no thermal factor.

Principal peaks in the range 2θ from 10° to 80°, in order of rising 2θ:
- 2θ 34.09, I = 19
- 2θ 35.55, I = 100
- 2θ 39.43, I = 18
- 2θ 44.09, I = 22
- 2θ 44.93, I = 19
- 2θ 49.56, I = 14
- 2θ 56.88, I = 9
- 2θ 64.77, I = 13
- 2θ 75.51, I = 11
- 2θ 76.73, I = 10

```
12
Lattice="2.054 -13.151 0.000 2.054 13.151 0.000 0.000 0.000 4.035" Properties=species:S:1:pos:R:3 pbc="T T T"
Tb 0.000 0.000 0.000
Tb 2.054 7.892 0.000
Tb 2.054 -7.892 0.000
P 2.054 2.245 2.017
P 2.054 -2.245 2.017
Rh 2.054 9.947 2.017
Rh 2.054 5.458 2.017
Rh 2.054 3.259 0.000
Rh 2.054 0.000 2.017
Rh 2.054 -3.259 0.000
Rh 2.054 -5.458 2.017
Rh 2.054 -9.947 2.017
```